(1)
The following is a theoretical X-ray powder pattern of Y2Er3Lu2Ni2Te2. It was derived from DFT lattice parameters and positions (GGA-PBE), using Cu Kα (λ = 1.5418 Å).

Main lines, sorted by position (10° ≤ 2θ ≤ 90°):
2theta  intensity  h k l
29.10  48  1 3 0
30.58  54  1 1 2
33.20  90  0 3 3
34.33  100  1 4 1
34.80  72  0 6 0
36.87  37  1 0 3
38.73  29  1 2 3
47.61  32  2 0 0
51.55  36  1 7 2
59.29  41  2 3 3

Structure:
```
data_Y2Er3Lu2Ni2Te2
_chemical_formula_sum 'Y4 Er6 Lu4 Ni4 Te4'
_symmetry_space_group_name_H-M 'I m m 2'
_symmetry_Int_Tables_number 44
_symmetry_space_group_name_Hall 'I 2 -2'
_cell_length_a 3.820
_cell_length_b 15.465
_cell_length_c 9.501
_cell_angle_alpha 90.00
_cell_angle_beta 90.00
_cell_angle_gamma 90.00
loop_
_atom_site_label
_atom_site_type_symbol
_atom_site_fract_x
_atom_site_fract_y
_atom_site_fract_z
Y1 Y 0.000 0.131 0.000
Er1 Er 0.000 0.000 0.581
Er2 Er 0.000 0.315 0.201
Lu1 Lu 0.000 0.353 0.852
Ni1 Ni 0.000 0.236 0.509
Te1 Te 0.000 0.000 0.247
Te2 Te 0.000 0.500 0.345
```

***

(2)
The following is a theoretical X-ray powder pattern of KTa8. It was derived from DFT lattice parameters and positions (GGA-PBE), using Cu Kα (λ = 1.5418 Å).

Main lines, sorted by position (10° ≤ 2θ ≤ 90°):
2theta  intensity  h k l
12.19  58  0 0 4
19.39  19  0 2 2
36.09  100  0 2 10
37.28  33  0 4 0
37.81  85  2 2 0
39.87  21  2 2 4
45.55  57  2 0 10
60.27  27  2 4 10
76.90  17  2 2 20
80.07  20  4 2 10

Structure:
```
data_KTa8
_chemical_formula_sum 'K8 Ta64'
_symmetry_space_group_name_H-M 'F d d d'
_symmetry_Int_Tables_number 70
_cell_length_a 5.470
_cell_length_b 9.647
_cell_length_c 29.050
_cell_angle_alpha 90.00
_cell_angle_beta 90.00
_cell_angle_gamma 90.00
loop_
_symmetry_equiv_pos_as_xyz
'x,y,z'
'-x,-y,-z'
'-x+1/4,-y+1/4,z'
'x+1/4,y+1/4,-z'
'x,-y+1/4,-z+1/4'
'-x,y+1/4,z+1/4'
'-x+1/4,y,-z+1/4'
'x+1/4,-y,z+1/4'
'x,y+1/2,z+1/2'
'-x,-y+1/2,-z+1/2'
'-x+1/4,-y+3/4,z+1/2'
'x+1/4,y+3/4,-z+1/2'
'x,-y+3/4,-z+3/4'
'-x,y+3/4,z+3/4'
'-x+1/4,y+1/2,-z+3/4'
'x+1/4,-y+1/2,z+3/4'
'x+1/2,y,z+1/2'
'-x+1/2,-y,-z+1/2'
'-x+3/4,-y+1/4,z+1/2'
'x+3/4,y+1/4,-z+1/2'
'x+1/2,-y+1/4,-z+3/4'
'-x+1/2,y+1/4,z+3/4'
'-x+3/4,y,-z+3/4'
'x+3/4,-y,z+3/4'
'x+1/2,y+1/2,z'
'-x+1/2,-y+1/2,-z'
'-x+3/4,-y+3/4,z'
'x+3/4,y+3/4,-z'
'x+1/2,-y+3/4,-z+1/4'
'-x+1/2,y+3/4,z+1/4'
'-x+3/4,y+1/2,-z+1/4'
'x+3/4,-y+1/2,z+1/4'
loop_
_atom_site_label
_atom_site_type_symbol
_atom_site_fract_x
_atom_site_fract_y
_atom_site_fract_z
K1 K 0.125 0.125 0.125
Ta1 Ta 0.122 0.337 0.678
Ta2 Ta 0.122 0.365 0.979
```

***

(3)
The following is a theoretical X-ray powder pattern of Sm3Ho2Bi3. It was derived from DFT lattice parameters and positions (GGA-PBE), using Cu Kα (λ = 1.5418 Å).

Main lines, sorted by position (10° ≤ 2θ ≤ 90°):
2theta  intensity  h k l
27.66  22  0 0 2
29.47  24  2 1 0
32.65  100  2 1 1
33.53  52  3 0 0
33.88  79  1 1 2
43.02  22  3 1 1
48.40  17  2 2 2
52.16  27  2 1 3
64.94  21  5 0 2
67.89  14  3 0 4

Structure:
```
data_Sm3Ho2Bi3
_chemical_formula_sum 'Sm6 Ho4 Bi6'
_symmetry_space_group_name_H-M 'P 63/m c m'
_symmetry_Int_Tables_number 193
_symmetry_space_group_name_Hall '-P 6c 2'
_cell_length_a 9.2590
_cell_length_b 9.2590
_cell_length_c 6.4497
_cell_angle_alpha 90.00
_cell_angle_beta 90.00
_cell_angle_gamma 120.00
loop_
_atom_site_label
_atom_site_type_symbol
_atom_site_fract_x
_atom_site_fract_y
_atom_site_fract_z
Sm1 Sm 0.0000 0.2453 0.2500
Ho1 Ho 0.3333 0.6667 0.0000
Bi1 Bi 0.0000 0.3921 0.7500
```

***

(4)
The following is a theoretical X-ray powder pattern of TbHoC2Br2. It was derived from DFT lattice parameters and positions (GGA-PBE), using Cu Kα (λ = 1.5418 Å).

Main lines, sorted by position (10° ≤ 2θ ≤ 90°):
2theta  intensity  h k l
16.22  24  0 0 2
26.74  50  1 1 0
29.06  77  2 0 -2
30.89  38  1 1 -2
31.33  22  2 0 2
31.98  100  1 1 2
37.26  41  1 1 3
41.95  34  1 1 -4
45.50  41  3 1 0
57.16  23  2 2 -2

Structure:
```
data_TbHoC2Br2
_chemical_formula_sum 'Tb2 Ho2 C4 Br4'
_symmetry_space_group_name_H-M 'C 1 m 1'
_symmetry_Int_Tables_number 8
_symmetry_space_group_name_Hall 'C -2y'
_cell_length_a 7.060
_cell_length_b 3.785
_cell_length_c 10.962
_cell_angle_alpha 90.00
_cell_angle_beta 94.64
_cell_angle_gamma 90.00
loop_
_atom_site_label
_atom_site_type_symbol
_atom_site_fract_x
_atom_site_fract_y
_atom_site_fract_z
Tb1 Tb 0.000 0.000 0.000
Ho1 Ho 0.290 0.000 0.264
C1 C 0.070 0.500 0.167
C2 C 0.220 0.500 0.100
Br1 Br 0.321 0.000 0.827
Br2 Br 0.466 0.500 0.435
```

***

(5)
The following is a theoretical X-ray powder pattern of PmBiI2O2. It was derived from DFT lattice parameters and positions (GGA-PBE), using Cu Kα (λ = 1.5418 Å).

Main lines, sorted by position (10° ≤ 2θ ≤ 90°):
2theta  intensity  h k l
29.34  100  1 0 2
31.35  43  1 1 0
36.63  11  1 0 3
44.92  20  2 0 0
50.75  16  1 1 4
54.56  36  2 1 2
60.87  8  2 0 4
73.26  8  3 0 2
74.32  8  3 1 0
87.20  7  3 1 4

Structure:
```
data_PmBiI2O2
_chemical_formula_sum 'Pm1 Bi1 I2 O2'
_symmetry_space_group_name_H-M 'P 4 m m'
_symmetry_Int_Tables_number 99
_symmetry_space_group_name_Hall 'P 4 -2'
_cell_length_a 4.036
_cell_length_b 4.036
_cell_length_c 9.269
_cell_angle_alpha 90.00
_cell_angle_beta 90.00
_cell_angle_gamma 90.00
loop_
_atom_site_label
_atom_site_type_symbol
_atom_site_fract_x
_atom_site_fract_y
_atom_site_fract_z
Pm1 Pm 0.000 0.000 0.000
Bi1 Bi 0.500 0.500 0.258
I1 I 0.000 0.000 0.459
I2 I 0.500 0.500 0.799
O1 O 0.000 0.500 0.126
```

***

(6)
The following is a theoretical X-ray powder pattern of Dy2HoCu4Sn4. It was derived from DFT lattice parameters and positions (GGA-PBE), using Cu Kα (λ = 1.5418 Å).

Main lines, sorted by position (10° ≤ 2θ ≤ 90°):
2theta  intensity  h k l
33.13  29  0 1 5
33.30  100  1 2 1
34.19  100  1 1 4
36.71  20  0 0 6
40.49  43  2 0 0
43.27  23  0 3 3
45.30  24  1 2 5
60.75  17  2 3 3
68.60  21  2 4 0
76.44  17  1 5 4

Structure:
```
data_Dy2HoCu4Sn4
_chemical_formula_sum 'Dy4 Ho2 Cu8 Sn8'
_symmetry_space_group_name_H-M 'I m m m'
_symmetry_Int_Tables_number 71
_symmetry_space_group_name_Hall '-I 2 2'
_cell_length_a 4.455
_cell_length_b 6.938
_cell_length_c 14.683
_cell_angle_alpha 90.00
_cell_angle_beta 90.00
_cell_angle_gamma 90.00
loop_
_atom_site_label
_atom_site_type_symbol
_atom_site_fract_x
_atom_site_fract_y
_atom_site_fract_z
Dy1 Dy 0.000 0.000 0.131
Ho1 Ho 0.000 0.500 0.000
Cu1 Cu 0.000 0.188 0.329
Sn1 Sn 0.000 0.297 0.500
Sn2 Sn 0.000 0.500 0.216
```